1.
This entry pairs a crystal structure of BaTh2Bi3 with its computed powder diffraction line list. Radiation: λ = 1.5418 Å (Cu Kα). Structure: DFT lattice parameters and positions (PBE).
Neutral-atom scattering factors, no anomalous dispersion.

Crystal structure
Unit cell a=4.697 b=6.693 c=14.303 alpha=90.00 beta=90.00 gamma=90.00
Element x y z (fractional)
Ba 0.000 0.000 0.000
Ba 0.500 0.500 0.500
Th 0.000 0.000 0.338
Th 0.000 0.000 0.662
Th 0.500 0.500 0.162
Th 0.500 0.500 0.838
Bi 0.000 0.500 0.000
Bi 0.000 0.500 0.319
Bi 0.000 0.500 0.681
Bi 0.500 0.000 0.181
Bi 0.500 0.000 0.500
Bi 0.500 0.000 0.819

Most intense lines, 5 to 70 degrees two-theta, sorted by position:
- 26.6 deg, d 3.346, I = 100
- 37.7 deg, d 2.384, I = 12
- 38.0 deg, d 2.366, I = 53
- 38.3 deg, d 2.348, I = 13
- 46.8 deg, d 1.942, I = 14
- 47.3 deg, d 1.922, I = 15
- 54.9 deg, d 1.673, I = 13
- 62.0 deg, d 1.496, I = 25
- 68.3 deg, d 1.373, I = 8
- 69.1 deg, d 1.359, I = 10


2.
This entry pairs a crystal structure of Li7Ag2Ge with its computed powder diffraction line list. Radiation: λ = 1.5418 Å (Cu Kα). Structure: DFT lattice parameters and positions (PBE).
Neutral-atom scattering factors, no anomalous dispersion.

Crystal structure
Unit cell a=4.455 b=4.455 c=10.124 alpha=90.00 beta=90.00 gamma=120.00
Element x y z (fractional)
Li 0.000 0.000 0.000
Li 0.000 0.000 0.236
Li 0.000 0.000 0.496
Li 0.333 0.667 0.069
Li 0.333 0.667 0.640
Li 0.667 0.333 0.406
Li 0.667 0.333 0.854
Ag 0.000 0.000 0.748
Ag 0.333 0.667 0.339
Ge 0.667 0.333 0.134

Most intense lines, 5 to 70 degrees two-theta, sorted by position:
- 17.5 deg, d 5.062, I = 23
- 24.7 deg, d 3.605, I = 100
- 29.1 deg, d 3.069, I = 41
- 35.3 deg, d 2.540, I = 30
- 40.5 deg, d 2.228, I = 35
- 42.7 deg, d 2.116, I = 28
- 44.4 deg, d 2.039, I = 13
- 48.0 deg, d 1.895, I = 16
- 61.9 deg, d 1.498, I = 13
- 64.6 deg, d 1.443, I = 13


3.
This entry pairs a crystal structure of Li12Cd6Rh with its computed powder diffraction line list. Radiation: λ = 1.5418 Å (Cu Kα). Structure: DFT lattice parameters and positions (PBE).
Neutral-atom scattering factors, no anomalous dispersion.

Crystal structure
Unit cell a=7.107 b=7.107 c=7.107 alpha=90.99 beta=90.99 gamma=90.99
Element x y z (fractional)
Li 0.029 0.938 0.303
Li 0.062 0.697 0.971
Li 0.138 0.462 0.356
Li 0.303 0.029 0.938
Li 0.356 0.138 0.462
Li 0.462 0.356 0.138
Li 0.538 0.644 0.862
Li 0.644 0.862 0.538
Li 0.697 0.971 0.062
Li 0.862 0.538 0.644
Li 0.938 0.303 0.029
Li 0.971 0.062 0.697
Cd 0.225 0.384 0.763
Cd 0.237 0.775 0.616
Cd 0.384 0.763 0.225
Cd 0.616 0.237 0.775
Cd 0.763 0.225 0.384
Cd 0.775 0.616 0.237
Rh 0.500 0.500 0.500

Most intense lines, 5 to 70 degrees two-theta, sorted by position:
- 12.5 deg, d 7.105, I = 98
- 17.8 deg, d 4.980, I = 78
- 22.0 deg, d 4.032, I = 60
- 25.1 deg, d 3.552, I = 37
- 27.9 deg, d 3.200, I = 39
- 28.3 deg, d 3.155, I = 55
- 37.7 deg, d 2.387, I = 100
- 39.9 deg, d 2.259, I = 63
- 40.4 deg, d 2.235, I = 30
- 48.6 deg, d 1.873, I = 23


4.
This entry pairs a crystal structure of CaSiP with its computed powder diffraction line list. Radiation: λ = 1.5418 Å (Cu Kα). Structure: DFT lattice parameters and positions (PBE).
Neutral-atom scattering factors, no anomalous dispersion.

Crystal structure
Unit cell a=4.011 b=27.586 c=4.015 alpha=90.00 beta=116.50 gamma=90.00
Element x y z (fractional)
Ca 0.079 0.000 0.428
Ca 0.354 0.714 0.147
Ca 0.392 0.889 0.116
Ca 0.608 0.389 0.884
Ca 0.646 0.214 0.853
Ca 0.921 0.500 0.572
Si 0.043 0.808 0.464
Si 0.208 0.602 0.287
Si 0.454 0.078 0.051
Si 0.546 0.578 0.949
Si 0.792 0.102 0.713
Si 0.957 0.308 0.536
P 0.267 0.445 0.226
P 0.304 0.152 0.198
P 0.307 0.287 0.187
P 0.693 0.787 0.813
P 0.696 0.652 0.802
P 0.733 0.945 0.774

Most intense lines, 5 to 70 degrees two-theta, sorted by position:
- 28.0 deg, d 3.185, I = 37
- 29.2 deg, d 3.058, I = 17
- 30.8 deg, d 2.902, I = 78
- 31.6 deg, d 2.830, I = 67
- 32.5 deg, d 2.759, I = 19
- 33.8 deg, d 2.654, I = 100
- 42.8 deg, d 2.112, I = 49
- 44.0 deg, d 2.056, I = 29
- 45.4 deg, d 1.998, I = 38
- 53.7 deg, d 1.707, I = 29


5.
This entry pairs a crystal structure of CeNbTc with its computed powder diffraction line list. Radiation: λ = 1.5418 Å (Cu Kα). Structure: DFT lattice parameters and positions (PBE).
Neutral-atom scattering factors, no anomalous dispersion.

Crystal structure
Unit cell a=6.431 b=5.570 c=5.217 alpha=73.11 beta=55.97 gamma=50.91
Element x y z (fractional)
Ce 0.161 0.161 0.839
Ce 0.839 0.839 0.161
Nb 0.342 0.658 0.342
Nb 0.658 0.342 0.658
Tc 0.250 0.250 0.250
Tc 0.750 0.750 0.750

Most intense lines, 5 to 70 degrees two-theta, sorted by position:
- 33.8 deg, d 2.649, I = 100
- 36.0 deg, d 2.496, I = 66
- 36.2 deg, d 2.479, I = 21
- 37.3 deg, d 2.413, I = 43
- 42.0 deg, d 2.152, I = 60
- 43.4 deg, d 2.084, I = 35
- 46.0 deg, d 1.971, I = 29
- 56.7 deg, d 1.623, I = 22
- 66.7 deg, d 1.402, I = 23
- 67.3 deg, d 1.391, I = 21


6.
This entry pairs a crystal structure of CeSi2Ag4 with its computed powder diffraction line list. Radiation: λ = 1.5418 Å (Cu Kα). Structure: DFT lattice parameters and positions (PBE).
Neutral-atom scattering factors, no anomalous dispersion.

Crystal structure
Unit cell a=4.194 b=15.050 c=4.178 alpha=90.00 beta=90.00 gamma=90.00
Element x y z (fractional)
Ce 0.000 0.000 0.000
Ce 0.500 0.500 0.000
Si 0.000 0.423 0.500
Si 0.000 0.577 0.500
Si 0.500 0.077 0.500
Si 0.500 0.923 0.500
Ag 0.000 0.179 0.500
Ag 0.000 0.320 0.000
Ag 0.000 0.680 0.000
Ag 0.000 0.821 0.500
Ag 0.500 0.180 0.000
Ag 0.500 0.321 0.500
Ag 0.500 0.679 0.500
Ag 0.500 0.820 0.000

Most intense lines, 5 to 70 degrees two-theta, sorted by position:
- 11.8 deg, d 7.525, I = 12
- 35.2 deg, d 2.549, I = 100
- 35.8 deg, d 2.508, I = 16
- 42.9 deg, d 2.110, I = 11
- 43.1 deg, d 2.097, I = 17
- 43.3 deg, d 2.089, I = 17
- 57.3 deg, d 1.609, I = 8
- 57.4 deg, d 1.605, I = 8
- 62.8 deg, d 1.480, I = 11
- 63.9 deg, d 1.456, I = 10


7.
This entry pairs a crystal structure of La2Cu5Si3 with its computed powder diffraction line list. Radiation: λ = 1.5418 Å (Cu Kα). Structure: DFT lattice parameters and positions (PBE).
Neutral-atom scattering factors, no anomalous dispersion.

Crystal structure
Unit cell a=8.248 b=8.248 c=5.967 alpha=111.10 beta=111.10 gamma=92.19
Element x y z (fractional)
La 0.123 0.373 0.248
La 0.373 0.123 0.748
La 0.627 0.877 0.252
La 0.877 0.627 0.752
Cu 0.004 0.244 0.625
Cu 0.244 0.004 0.125
Cu 0.259 0.741 0.750
Cu 0.260 0.740 0.250
Cu 0.500 0.500 0.250
Cu 0.500 0.500 0.750
Cu 0.740 0.260 0.750
Cu 0.741 0.259 0.250
Cu 0.756 0.996 0.875
Cu 0.996 0.756 0.375
Si 0.000 0.000 0.250
Si 0.000 0.000 0.750
Si 0.243 0.493 0.867
Si 0.493 0.243 0.367
Si 0.507 0.757 0.633
Si 0.757 0.507 0.133

Most intense lines, 5 to 70 degrees two-theta, sorted by position:
- 23.0 deg, d 3.867, I = 30
- 34.8 deg, d 2.577, I = 100
- 35.2 deg, d 2.547, I = 77
- 35.4 deg, d 2.539, I = 75
- 43.0 deg, d 2.105, I = 81
- 51.5 deg, d 1.774, I = 34
- 56.5 deg, d 1.630, I = 24
- 62.2 deg, d 1.492, I = 13
- 65.3 deg, d 1.429, I = 17
- 69.3 deg, d 1.356, I = 13


8.
This entry pairs a crystal structure of TmSc2Co3 with its computed powder diffraction line list. Radiation: λ = 1.5418 Å (Cu Kα). Structure: DFT lattice parameters and positions (PBE).
Neutral-atom scattering factors, no anomalous dispersion.

Crystal structure
Unit cell a=3.189 b=3.189 c=9.459 alpha=90.00 beta=90.00 gamma=90.00
Element x y z (fractional)
Tm 0.000 0.000 0.000
Sc 0.000 0.000 0.338
Sc 0.000 0.000 0.662
Co 0.500 0.500 0.179
Co 0.500 0.500 0.500
Co 0.500 0.500 0.821

Most intense lines, 5 to 70 degrees two-theta, sorted by position:
- 9.3 deg, d 9.459, I = 47
- 18.8 deg, d 4.730, I = 11
- 29.6 deg, d 3.022, I = 20
- 33.9 deg, d 2.644, I = 17
- 40.0 deg, d 2.255, I = 52
- 40.2 deg, d 2.242, I = 100
- 41.2 deg, d 2.193, I = 6
- 44.5 deg, d 2.035, I = 5
- 57.8 deg, d 1.594, I = 17
- 58.6 deg, d 1.577, I = 7


9.
This entry pairs a crystal structure of NaGdTi2O6 with its computed powder diffraction line list. Radiation: λ = 1.5418 Å (Cu Kα). Structure: DFT lattice parameters and positions (PBE).
Neutral-atom scattering factors, no anomalous dispersion.

Crystal structure
Unit cell a=7.660 b=5.558 c=5.385 alpha=90.00 beta=90.00 gamma=90.00
Element x y z (fractional)
Na 0.000 0.222 0.000
Na 0.500 0.778 0.500
Gd 0.000 0.683 0.515
Gd 0.500 0.317 0.015
Ti 0.247 0.234 0.517
Ti 0.253 0.766 0.017
Ti 0.747 0.766 0.017
Ti 0.753 0.234 0.517
O 0.000 0.271 0.425
O 0.000 0.773 0.090
O 0.202 0.948 0.694
O 0.212 0.460 0.777
O 0.288 0.540 0.277
O 0.298 0.052 0.194
O 0.500 0.227 0.590
O 0.500 0.729 0.925
O 0.702 0.052 0.194
O 0.712 0.540 0.277
O 0.788 0.460 0.777
O 0.798 0.948 0.694

Most intense lines, 5 to 70 degrees two-theta, sorted by position:
- 19.7 deg, d 4.498, I = 47
- 20.2 deg, d 4.405, I = 60
- 25.8 deg, d 3.452, I = 16
- 32.2 deg, d 2.779, I = 20
- 32.9 deg, d 2.721, I = 100
- 33.3 deg, d 2.692, I = 27
- 39.0 deg, d 2.309, I = 29
- 47.0 deg, d 1.934, I = 26
- 47.5 deg, d 1.915, I = 19
- 59.2 deg, d 1.560, I = 36


10.
This entry pairs a crystal structure of CrNi6Mo with its computed powder diffraction line list. Radiation: λ = 1.5418 Å (Cu Kα). Structure: DFT lattice parameters and positions (PBE).
Neutral-atom scattering factors, no anomalous dispersion.

Crystal structure
Unit cell a=6.207 b=5.642 c=4.423 alpha=75.07 beta=61.43 gamma=43.51
Element x y z (fractional)
Cr 0.000 0.000 0.000
Ni 0.127 0.127 0.373
Ni 0.248 0.248 0.752
Ni 0.373 0.373 0.127
Ni 0.627 0.627 0.873
Ni 0.752 0.752 0.248
Ni 0.873 0.873 0.627
Mo 0.500 0.500 0.500

Most intense lines, 5 to 70 degrees two-theta, sorted by position:
- 23.2 deg, d 3.841, I = 6
- 30.4 deg, d 2.942, I = 1
- 34.3 deg, d 2.612, I = 3
- 42.4 deg, d 2.132, I = 1
- 43.6 deg, d 2.077, I = 100
- 43.8 deg, d 2.069, I = 98
- 49.9 deg, d 1.829, I = 1
- 50.4 deg, d 1.812, I = 32
- 51.1 deg, d 1.787, I = 61
- 62.8 deg, d 1.479, I = 1


11.
This entry pairs a crystal structure of Pm12Ge6F with its computed powder diffraction line list. Radiation: λ = 1.5418 Å (Cu Kα). Structure: DFT lattice parameters and positions (PBE).
Neutral-atom scattering factors, no anomalous dispersion.

Crystal structure
Unit cell a=8.385 b=8.385 c=8.385 alpha=99.54 beta=99.54 gamma=99.54
Element x y z (fractional)
Pm 0.028 0.683 0.926
Pm 0.074 0.972 0.317
Pm 0.185 0.422 0.558
Pm 0.317 0.074 0.972
Pm 0.422 0.558 0.185
Pm 0.442 0.815 0.578
Pm 0.558 0.185 0.422
Pm 0.578 0.442 0.815
Pm 0.683 0.926 0.028
Pm 0.815 0.578 0.442
Pm 0.926 0.028 0.683
Pm 0.972 0.317 0.074
Ge 0.124 0.631 0.297
Ge 0.297 0.124 0.631
Ge 0.369 0.703 0.876
Ge 0.631 0.297 0.124
Ge 0.703 0.876 0.369
Ge 0.876 0.369 0.703
F 0.000 0.000 0.000

Most intense lines, 5 to 70 degrees two-theta, sorted by position:
- 22.5 deg, d 3.953, I = 20
- 26.0 deg, d 3.424, I = 68
- 27.9 deg, d 3.201, I = 20
- 31.2 deg, d 2.867, I = 41
- 32.8 deg, d 2.731, I = 64
- 37.1 deg, d 2.421, I = 100
- 38.5 deg, d 2.338, I = 19
- 51.5 deg, d 1.776, I = 18
- 52.5 deg, d 1.743, I = 22
- 54.5 deg, d 1.683, I = 20


12.
This entry pairs a crystal structure of CaCdGe with its computed powder diffraction line list. Radiation: λ = 1.5418 Å (Cu Kα). Structure: DFT lattice parameters and positions (PBE).
Neutral-atom scattering factors, no anomalous dispersion.

Crystal structure
Unit cell a=3.972 b=4.419 c=8.766 alpha=75.45 beta=89.80 gamma=90.00
Element x y z (fractional)
Ca 0.249 0.407 0.187
Ca 0.751 0.593 0.813
Cd 0.251 0.215 0.568
Cd 0.749 0.785 0.432
Ge 0.251 0.047 0.905
Ge 0.749 0.953 0.095

Most intense lines, 5 to 70 degrees two-theta, sorted by position:
- 20.8 deg, d 4.276, I = 19
- 30.7 deg, d 2.910, I = 100
- 33.3 deg, d 2.692, I = 34
- 39.0 deg, d 2.308, I = 20
- 39.2 deg, d 2.300, I = 20
- 40.4 deg, d 2.231, I = 18
- 40.5 deg, d 2.225, I = 18
- 40.8 deg, d 2.209, I = 24
- 45.7 deg, d 1.986, I = 17
- 57.8 deg, d 1.596, I = 19


13.
This entry pairs a crystal structure of Sm3Y8Th3 with its computed powder diffraction line list. Radiation: λ = 1.5418 Å (Cu Kα). Structure: DFT lattice parameters and positions (PBE).
Neutral-atom scattering factors, no anomalous dispersion.

Crystal structure
Unit cell a=9.715 b=9.715 c=9.715 alpha=145.92 beta=113.01 gamma=77.34
Element x y z (fractional)
Sm 0.000 0.000 0.000
Sm 0.310 0.000 0.310
Sm 0.690 0.000 0.690
Y 0.058 0.397 0.661
Y 0.065 0.223 0.842
Y 0.264 0.603 0.661
Y 0.381 0.223 0.158
Y 0.619 0.777 0.842
Y 0.736 0.397 0.339
Y 0.935 0.777 0.158
Y 0.942 0.603 0.339
Th 0.315 0.815 0.500
Th 0.500 0.500 0.000
Th 0.685 0.185 0.500

Most intense lines, 5 to 70 degrees two-theta, sorted by position:
- 21.2 deg, d 4.191, I = 14
- 28.9 deg, d 3.090, I = 33
- 29.5 deg, d 3.028, I = 26
- 30.6 deg, d 2.919, I = 36
- 31.4 deg, d 2.847, I = 46
- 31.8 deg, d 2.812, I = 100
- 33.5 deg, d 2.678, I = 37
- 44.5 deg, d 2.038, I = 26
- 56.2 deg, d 1.637, I = 20
- 57.3 deg, d 1.608, I = 21